Structure and calculated X-ray powder pattern of VAgOF4 (a crystal structure in Alexandria, relaxed with GGA+U; Cu Kα (λ = 1.5418 Å)).
Lines closer than 0.1° are merged.

Structure:
Cell: 5.788 5.292 14.164 Å, 90.00 100.18 90.00°
Fractional coordinates of all 28 atoms:
V: 0.174 0.114 0.354
V: 0.174 0.386 0.854
V: 0.826 0.614 0.146
V: 0.826 0.886 0.646
Ag: 0.354 0.137 0.121
Ag: 0.354 0.363 0.621
Ag: 0.646 0.637 0.379
Ag: 0.646 0.863 0.879
O: 0.337 0.614 0.905
O: 0.337 0.886 0.405
O: 0.663 0.114 0.595
O: 0.663 0.386 0.095
F: 0.081 0.512 0.729
F: 0.081 0.988 0.229
F: 0.116 0.536 0.121
F: 0.116 0.964 0.621
F: 0.204 0.147 0.950
F: 0.204 0.353 0.450
F: 0.391 0.198 0.801
F: 0.391 0.302 0.301
F: 0.609 0.698 0.699
F: 0.609 0.802 0.199
F: 0.796 0.647 0.550
F: 0.796 0.853 0.050
F: 0.884 0.036 0.379
F: 0.884 0.464 0.879
F: 0.919 0.012 0.771
F: 0.919 0.488 0.271

Top 10 peaks for 2θ = 10–90°, in order of rising 2θ:
- 2θ = 22.9°, I 100.0, (1 1 0)
- 2θ = 24.6°, I 82.5, (1 1 1)
- 2θ = 24.9°, I 27.4, (1 1 -2)
- 2θ = 25.6°, I 77.5, (0 0 4)
- 2θ = 27.6°, I 37.6, (1 1 2)
- 2θ = 28.1°, I 42.4, (1 1 -3)
- 2θ = 31.8°, I 28.8, (2 0 -2)
- 2θ = 38.0°, I 24.8, (2 1 -3)
- 2θ = 47.4°, I 25.4, (0 2 5)
- 2θ = 48.2°, I 27.3, (2 2 1)